(1)
Structure and computed XRD peak list of TbYMg3 (a GGA-PBE-relaxed structure; Cu Kα (weighted mean of Kα1 and Kα2)).
Kinematic intensities with the Lorentz-polarization factor, no thermal factor.

Top 10 peaks for 15 to 90 degrees two-theta, low angle first:
15.98°, intensity 15; 19.04°, intensity 14; 21.11°, intensity 17; 24.51°, intensity 25; 33.32°, intensity 100; 34.15°, intensity 23; 34.48°, intensity 23; 49.32°, intensity 16; 60.62°, intensity 17; 61.04°, intensity 17

Structural model:
Cell: 11.417 11.417 5.202 Å, 103.16 103.16 54.76°
Positions (direct):
Tb 0.077 0.321 0.449
Tb 0.321 0.077 0.949
Tb 0.679 0.923 0.051
Tb 0.923 0.679 0.551
Y 0.127 0.873 0.750
Y 0.372 0.628 0.250
Y 0.628 0.372 0.750
Y 0.873 0.127 0.250
Mg 0.025 0.778 0.152
Mg 0.163 0.450 0.055
Mg 0.222 0.975 0.348
Mg 0.274 0.505 0.639
Mg 0.450 0.163 0.555
Mg 0.495 0.726 0.861
Mg 0.505 0.274 0.139
Mg 0.550 0.837 0.445
Mg 0.726 0.495 0.361
Mg 0.778 0.025 0.652
Mg 0.837 0.550 0.945
Mg 0.975 0.222 0.848

***

(2)
Structure and computed XRD peak list of Tb8Y4Mg (a GGA-PBE-relaxed structure; Cu Kα (weighted mean of Kα1 and Kα2)).
Kinematic intensities with the Lorentz-polarization factor, no thermal factor.

Top 10 peaks for 15 to 90 degrees two-theta, low angle first:
30.91°, intensity 100; 35.80°, intensity 34; 35.93°, intensity 17; 51.56°, intensity 24; 51.65°, intensity 12; 61.25°, intensity 14; 61.35°, intensity 14; 61.48°, intensity 13; 64.41°, intensity 12; 84.26°, intensity 8

Structural model:
Cell: 6.145 6.145 14.589 Å, 94.21 94.21 48.14°
Positions (direct):
Tb 0.035 0.035 0.382
Tb 0.198 0.198 0.924
Tb 0.270 0.270 0.695
Tb 0.418 0.418 0.227
Tb 0.582 0.582 0.773
Tb 0.730 0.730 0.305
Tb 0.802 0.802 0.076
Tb 0.965 0.965 0.618
Y 0.111 0.111 0.152
Y 0.346 0.346 0.460
Y 0.654 0.654 0.540
Y 0.889 0.889 0.848
Mg 0.500 0.500 0.000

***

(3)
Structure and computed XRD peak list of Tb3Y8Mg (a GGA-PBE-relaxed structure; Cu Kα (weighted mean of Kα1 and Kα2)).
Kinematic intensities with the Lorentz-polarization factor, no thermal factor.

Top 10 peaks for 15 to 90 degrees two-theta, low angle first:
28.87°, intensity 18; 29.45°, intensity 26; 31.35°, intensity 52; 32.01°, intensity 100; 33.55°, intensity 61; 34.06°, intensity 27; 51.10°, intensity 26; 60.70°, intensity 16; 60.88°, intensity 15; 61.48°, intensity 15

Structural model:
Cell: 9.456 3.611 11.943 Å, 90.00 110.65 90.00°
Positions (direct):
Tb 0.000 0.000 0.000
Tb 0.251 0.500 0.246
Tb 0.613 0.000 0.936
Y 0.054 0.000 0.718
Y 0.105 0.000 0.435
Y 0.310 0.500 0.974
Y 0.360 0.500 0.692
Y 0.493 0.000 0.496
Y 0.747 0.500 0.744
Y 0.799 0.500 0.464
Y 0.848 0.500 0.187
Mg 0.553 0.000 0.218